Record 1
This entry pairs a crystal structure of Nb4SiB2 with its calculated powder diffraction line list. Radiation: Cu Kα X-rays. Structure: a GGA-PBE-relaxed structure.
Intensities are scaled so that the largest is 100.

Structural model:
Cell: 10.3601 10.3601 10.3601 Å, 19.18 19.18 19.18°
Positions (direct):
1 Nb 0.1144 0.1144 0.1144
2 Nb 0.2944 0.2944 0.2944
3 Nb 0.7056 0.7056 0.7056
4 Nb 0.8856 0.8856 0.8856
5 Si 0.5000 0.5000 0.5000
6 B 0.4081 0.4081 0.4081
7 B 0.5919 0.5919 0.5919

Peak list (6 most intense, 10° ≤ 2θ ≤ 80°, low angle first)
| 2theta | d/Å | I_rel |
| --- | --- | --- |
| 33.4 | 2.684 | 100 |
| 35.3 | 2.542 | 16 |
| 36.5 | 2.465 | 27 |
| 42.3 | 2.135 | 42 |
| 53.1 | 1.726 | 34 |
| 60.2 | 1.538 | 16 |


Record 2
This entry pairs a crystal structure of Li2InSn4 with its calculated powder diffraction line list. Radiation: Cu Kα X-rays. Structure: a GGA-PBE-relaxed structure.
Intensities are scaled so that the largest is 100.

Structural model:
Cell: 7.3231 7.3231 6.5331 Å, 90.00 90.00 82.68°
Positions (direct):
1 Li 0.2226 0.2226 0.0000
2 Li 0.2774 0.2774 0.5000
3 Li 0.7226 0.7226 0.5000
4 Li 0.7774 0.7774 0.0000
5 In 0.0000 0.0000 0.5000
6 In 0.5000 0.5000 0.0000
7 Sn 0.9999 0.5001 0.2500
8 Sn 0.0001 0.4999 0.7500
9 Sn 0.1719 0.8281 0.9992
10 Sn 0.3281 0.6719 0.4992
11 Sn 0.4999 0.0001 0.2500
12 Sn 0.5001 0.9999 0.7500
13 Sn 0.6719 0.3281 0.5008
14 Sn 0.8281 0.1719 0.0008

Peak list (6 most intense, 10° ≤ 2θ ≤ 80°, low angle first)
| 2theta | d/Å | I_rel |
| --- | --- | --- |
| 18.3 | 4.837 | 33 |
| 31.9 | 2.808 | 100 |
| 32.0 | 2.797 | 72 |
| 32.6 | 2.749 | 50 |
| 37.0 | 2.429 | 28 |
| 39.7 | 2.270 | 42 |


Record 3
This entry pairs a crystal structure of LaPb with its calculated powder diffraction line list. Radiation: Cu Kα X-rays. Structure: a GGA-PBE-relaxed structure.
Intensities are scaled so that the largest is 100.

Structural model:
Cell: 11.1601 10.2541 6.8556 Å, 90.00 90.00 90.00°
Positions (direct):
1 La 0.1058 0.2500 0.0000
2 La 0.1058 0.2500 0.5000
3 La 0.1913 0.6266 0.2500
4 La 0.1913 0.8734 0.7500
5 La 0.3915 0.0334 0.2500
6 La 0.3915 0.4666 0.7500
7 La 0.6085 0.5334 0.2500
8 La 0.6085 0.9666 0.7500
9 La 0.8087 0.1266 0.2500
10 La 0.8087 0.3734 0.7500
11 La 0.8942 0.7500 0.0000
12 La 0.8942 0.7500 0.5000
13 Pb 0.0949 0.5549 0.7500
14 Pb 0.0949 0.9451 0.2500
15 Pb 0.3459 0.1351 0.7500
16 Pb 0.3459 0.3649 0.2500
17 Pb 0.4232 0.7500 0.0000
18 Pb 0.4232 0.7500 0.5000
19 Pb 0.5768 0.2500 0.0000
20 Pb 0.5768 0.2500 0.5000
21 Pb 0.6541 0.6351 0.7500
22 Pb 0.6541 0.8649 0.2500
23 Pb 0.9051 0.0549 0.7500
24 Pb 0.9051 0.4451 0.2500

Peak list (6 most intense, 10° ≤ 2θ ≤ 80°, low angle first)
| 2theta | d/Å | I_rel |
| --- | --- | --- |
| 28.7 | 3.115 | 37 |
| 30.3 | 2.950 | 41 |
| 30.7 | 2.915 | 85 |
| 31.4 | 2.850 | 51 |
| 31.9 | 2.809 | 100 |
| 32.1 | 2.790 | 25 |